This entry pairs a crystal structure of KHoPtS3 with its computed PXRD pattern. Radiation: Cu Kα, 1.54184 Å. Structure: a cell relaxed with GGA-PBE.
Neutral-atom scattering factors, no anomalous dispersion.

Largest 10 diffraction maxima, in order of rising 2θ, 2θ from 10° to 90°:
2θ/deg  I/Imax  hkl
11.8  100  0 2 0
23.8  17  0 4 0
29.6  37  1 1 2
34.2  43  1 3 2
35.7  11  0 0 4
37.7  12  0 2 4
42.1  27  1 5 2
43.4  12  0 4 4
52.1  12  1 7 2
60.4  8  1 1 6

a b c (Å): 3.8964 14.9694 10.0571
angles (deg): 90.00 90.00 90.00
Space group Cmcm (No. 63)
Unique sites:
K (0.0000, 0.2439, 0.2500)
Ho (0.0000, 0.0000, 0.0000)
Pt (0.0000, 0.4914, 0.7500)
S (0.0000, 0.0855, 0.7500)
S (0.0000, 0.3820, 0.5760)


This entry pairs a crystal structure of KHoZnSe3 with its computed PXRD pattern. Radiation: Cu Kα, 1.54184 Å. Structure: a cell relaxed with GGA-PBE.
Neutral-atom scattering factors, no anomalous dispersion.

Largest 10 diffraction maxima, in order of rising 2θ, 2θ from 10° to 90°:
2θ/deg  I/Imax  hkl
11.6  100  1 0 -1
24.1  15  1 1 0
27.5  19  0 0 3
30.0  52  2 1 -1
30.7  24  2 1 0
32.8  13  1 0 3
34.1  21  1 1 -3
41.9  15  4 0 -1
42.6  25  2 1 -4
44.0  17  0 2 0

a b c (Å): 8.6845 4.1199 10.2814
angles (deg): 90.00 108.89 90.00
Space group P2_1/m (No. 11)
Unique sites:
K (0.2406, 0.2500, 0.2697)
Ho (0.3196, 0.7500, 0.8630)
Zn (0.0810, 0.2500, 0.6080)
Se (0.0845, 0.2500, 0.8458)
Se (0.2177, 0.7500, 0.5505)
Se (0.4582, 0.7500, 0.1502)


This entry pairs a crystal structure of Li3LaHo2Pb3 with its computed PXRD pattern. Radiation: Cu Kα, 1.54184 Å. Structure: a cell relaxed with GGA-PBE.
Neutral-atom scattering factors, no anomalous dispersion.

Largest 10 diffraction maxima, in order of rising 2θ, 2θ from 10° to 90°:
2θ/deg  I/Imax  hkl
21.6  12  1 0 0
22.9  37  1 0 1
26.7  44  1 0 2
32.1  100  1 0 3
37.8  64  1 1 0
45.6  15  1 0 5
50.4  29  2 0 3
62.7  24  1 1 6
64.7  27  2 1 3
89.5  13  3 1 3

a b c (Å): 4.7612 4.7612 11.3616
angles (deg): 90.00 90.00 120.00
Space group P-6m2 (No. 187)
Unique sites:
Li (0.0000, 0.0000, 0.0000)
Li (0.3333, 0.6667, 0.2954)
La (0.6667, 0.3333, 0.5000)
Ho (0.6667, 0.3333, 0.1585)
Pb (0.0000, 0.0000, 0.3149)
Pb (0.3333, 0.6667, 0.0000)